The following is a calculated powder XRD pattern of Rb3La3HoSe8. It was derived from DFT lattice parameters and positions (GGA-PBE), using copper Kα.
Intensities are scaled so that the largest is 100.

Largest 12 diffraction maxima, sorted by position, 2θ = 10–80°:
2θ/deg	I/Imax
10.93	40
27.65	100
34.99	16
37.90	32
41.05	37
42.61	9
47.61	10
50.22	19
57.10	10
62.36	9
66.80	16
72.71	9

Crystal structure
a = 15.239 Å, b = 8.790 Å, c = 9.562 Å
α = 90.00°, β = 122.16°, γ = 90.00°
Space group C2/m (No. 12)
Symmetry-distinct sites (fractional):
Rb: 0.000 0.000 0.000 (multiplicity 2)
Rb: 0.250 0.250 0.000 (multiplicity 4)
La: 0.000 0.500 0.500 (multiplicity 2)
La: 0.250 0.250 0.500 (multiplicity 4)
Ho: 0.000 0.000 0.500 (multiplicity 2)
Se: 0.016 0.239 0.308 (multiplicity 8)
Se: 0.224 0.000 0.692 (multiplicity 4)
Se: 0.234 0.500 0.702 (multiplicity 4)

=====

The following is a calculated powder XRD pattern of LaHo3Rh8. It was derived from DFT lattice parameters and positions (GGA-PBE), using copper Kα.
Intensities are scaled so that the largest is 100.

Largest 12 diffraction maxima, sorted by position, 2θ = 10–80°:
2θ/deg	I/Imax
33.48	44
36.30	89
38.85	13
39.43	100
40.24	80
41.13	12
45.74	11
61.70	36
63.86	24
66.85	30
70.34	27
77.08	12

Crystal structure
a = 5.3535 Å, b = 5.3535 Å, c = 8.7787 Å
α = 90.00°, β = 90.00°, γ = 120.00°
Space group P3m1 (No. 156)
Symmetry-distinct sites (fractional):
La: 0.0000 0.0000 0.0000 (multiplicity 1)
Ho: 0.0000 0.0000 0.3662 (multiplicity 1)
Ho: 0.6667 0.3333 0.4969 (multiplicity 1)
Ho: 0.6667 0.3333 0.8617 (multiplicity 1)
Rh: 0.1649 0.3298 0.6778 (multiplicity 3)
Rh: 0.3333 0.6667 0.4317 (multiplicity 1)
Rh: 0.3333 0.6667 0.9300 (multiplicity 1)
Rh: 0.5022 0.0043 0.1861 (multiplicity 3)

=====

The following is a calculated powder XRD pattern of La3HoRh2. It was derived from DFT lattice parameters and positions (GGA-PBE), using copper Kα.
Intensities are scaled so that the largest is 100.

Largest 12 diffraction maxima, sorted by position, 2θ = 10–80°:
2θ/deg	I/Imax
26.35	9
29.13	100
35.80	19
36.11	33
36.31	49
36.57	14
37.15	12
39.06	27
54.00	9
54.24	20
60.71	12
64.73	9

Crystal structure
a = 4.612 Å, b = 4.975 Å, c = 8.005 Å
α = 107.98°, β = 106.67°, γ = 90.00°
Space group P-1 (No. 2)
Symmetry-distinct sites (fractional):
La: 0.000 0.000 0.000 (multiplicity 1)
La: 0.192 0.692 0.384 (multiplicity 2)
Ho: 0.500 0.500 0.000 (multiplicity 1)
Rh: 0.372 0.873 0.742 (multiplicity 2)

=====

The following is a calculated powder XRD pattern of LaHoRu2. It was derived from DFT lattice parameters and positions (GGA-PBE), using copper Kα.
Intensities are scaled so that the largest is 100.

Largest 8 diffraction maxima, sorted by position, 2θ = 10–80°:
2θ/deg	I/Imax
22.20	1
25.69	4
36.65	100
45.29	1
52.79	17
59.61	2
65.98	35
77.91	11

Crystal structure
a = 6.936 Å, b = 6.936 Å, c = 6.936 Å
α = 90.00°, β = 90.00°, γ = 90.00°
Space group Fm-3m (No. 225)
Symmetry-distinct sites (fractional):
La: 0.000 0.000 0.000 (multiplicity 4)
Ho: 0.000 0.000 0.500 (multiplicity 4)
Ru: 0.250 0.250 0.250 (multiplicity 8)

=====

The following is a calculated powder XRD pattern of La3HoRu2. It was derived from DFT lattice parameters and positions (GGA-PBE), using copper Kα.
Intensities are scaled so that the largest is 100.

Largest 12 diffraction maxima, sorted by position, 2θ = 10–80°:
2θ/deg	I/Imax
29.34	100
36.58	19
36.72	41
36.89	14
37.18	30
38.40	27
54.09	19
54.52	20
62.28	12
63.95	11
66.71	10
68.30	10

Crystal structure
a = 15.007 Å, b = 4.836 Å, c = 4.689 Å
α = 90.00°, β = 108.15°, γ = 90.00°
Space group C2/m (No. 12)
Symmetry-distinct sites (fractional):
La: 0.000 0.000 0.000 (multiplicity 2)
La: 0.195 0.500 0.196 (multiplicity 4)
Ho: 0.000 0.500 0.500 (multiplicity 2)
Ru: 0.128 0.000 0.628 (multiplicity 4)

=====

The following is a calculated powder XRD pattern of LaHo3Ru4. It was derived from DFT lattice parameters and positions (GGA-PBE), using copper Kα.
Intensities are scaled so that the largest is 100.

Largest 12 diffraction maxima, sorted by position, 2θ = 10–80°:
2θ/deg	I/Imax
26.03	10
37.07	100
37.23	100
45.99	2
53.55	34
60.37	2
60.60	2
66.70	17
67.03	35
67.13	17
78.95	11
79.35	11

Crystal structure
a = 4.8301 Å, b = 4.8301 Å, c = 23.8133 Å
α = 90.00°, β = 90.00°, γ = 120.00°
Space group R-3m (No. 166, hexagonal axes)
Symmetry-distinct sites (fractional):
La: 0.0000 0.0000 0.0000 (multiplicity 3)
Ho: 0.0000 0.0000 0.2470 (multiplicity 6)
Ho: 0.0000 0.0000 0.5000 (multiplicity 3)
Ru: 0.0000 0.0000 0.1259 (multiplicity 6)
Ru: 0.0000 0.0000 0.3755 (multiplicity 6)

=====

The following is a calculated powder XRD pattern of La4Ho11S22. It was derived from DFT lattice parameters and positions (GGA-PBE), using copper Kα.
Intensities are scaled so that the largest is 100.

Largest 12 diffraction maxima, sorted by position, 2θ = 10–80°:
2θ/deg	I/Imax
15.78	30
23.44	79
24.12	100
26.20	62
27.16	47
27.49	65
31.25	65
33.69	55
41.87	56
43.84	42
45.64	45
46.05	36

Crystal structure
a = 39.399 Å, b = 3.976 Å, c = 11.389 Å
α = 90.00°, β = 91.64°, γ = 90.00°
Space group C2/m (No. 12)
Symmetry-distinct sites (fractional):
La: 0.105 0.000 0.012 (multiplicity 4)
La: 0.133 0.500 0.651 (multiplicity 4)
Ho: 0.000 0.000 0.000 (multiplicity 2)
Ho: 0.038 0.500 0.730 (multiplicity 4)
Ho: 0.070 0.000 0.361 (multiplicity 4)
Ho: 0.158 0.500 0.301 (multiplicity 4)
Ho: 0.203 0.000 0.941 (multiplicity 4)
Ho: 0.237 0.500 0.649 (multiplicity 4)
S: 0.008 0.000 0.240 (multiplicity 4)
S: 0.046 0.500 0.970 (multiplicity 4)
S: 0.056 0.500 0.507 (multiplicity 4)
S: 0.087 0.000 0.753 (multiplicity 4)
S: 0.093 0.500 0.212 (multiplicity 4)
S: 0.135 0.000 0.452 (multiplicity 4)
S: 0.150 0.500 0.908 (multiplicity 4)
S: 0.169 0.000 0.151 (multiplicity 4)
S: 0.190 0.000 0.691 (multiplicity 4)
S: 0.220 0.500 0.411 (multiplicity 4)
S: 0.245 0.500 0.882 (multiplicity 4)

=====

The following is a calculated powder XRD pattern of La4Ho3S8. It was derived from DFT lattice parameters and positions (GGA-PBE), using copper Kα.
Intensities are scaled so that the largest is 100.

Largest 12 diffraction maxima, sorted by position, 2θ = 10–80°:
2θ/deg	I/Imax
13.42	11
26.98	33
27.16	33
31.36	100
44.71	12
44.94	48
45.18	12
53.10	11
53.34	11
55.62	13
56.03	12
74.34	16

Crystal structure
a = 11.399 Å, b = 11.410 Å, c = 8.028 Å
α = 90.00°, β = 134.66°, γ = 90.00°
Space group C2/m (No. 12)
Symmetry-distinct sites (fractional):
La: 0.000 0.000 0.000 (multiplicity 2)
La: 0.000 0.500 0.500 (multiplicity 2)
La: 0.250 0.250 0.000 (multiplicity 4)
Ho: 0.000 0.500 0.000 (multiplicity 2)
Ho: 0.250 0.250 0.500 (multiplicity 4)
S: 0.000 0.246 0.500 (multiplicity 4)
S: 0.000 0.257 0.000 (multiplicity 4)
S: 0.245 0.500 0.006 (multiplicity 4)
S: 0.247 0.500 0.486 (multiplicity 4)

=====

The following is a calculated powder XRD pattern of LaSmHo2S6. It was derived from DFT lattice parameters and positions (GGA-PBE), using copper Kα.
Intensities are scaled so that the largest is 100.

Largest 12 diffraction maxima, sorted by position, 2θ = 10–80°:
2θ/deg	I/Imax
17.39	37
24.11	100
25.25	98
35.19	52
38.75	69
43.80	50
44.49	47
51.54	21
57.95	16
60.44	17
64.48	18
78.07	16

Crystal structure
a = 7.0550 Å, b = 7.0550 Å, c = 18.5285 Å
α = 90.00°, β = 90.00°, γ = 120.00°
Space group R3 (No. 146, hexagonal axes)
Symmetry-distinct sites (fractional):
La: 0.0000 0.0000 0.0000 (multiplicity 3)
Sm: 0.0000 0.0000 0.4948 (multiplicity 3)
Ho: 0.0000 0.0000 0.2896 (multiplicity 3)
Ho: 0.0000 0.0000 0.7922 (multiplicity 3)
S: 0.0165 0.3081 0.8884 (multiplicity 9)
S: 0.0254 0.6357 0.0551 (multiplicity 9)

=====

The following is a calculated powder XRD pattern of LaHoTe2S. It was derived from DFT lattice parameters and positions (GGA-PBE), using copper Kα.
Intensities are scaled so that the largest is 100.

Largest 12 diffraction maxima, sorted by position, 2θ = 10–80°:
2θ/deg	I/Imax
22.66	23
22.81	16
26.15	32
28.09	100
36.39	43
39.88	31
40.15	49
44.89	21
46.62	19
57.87	21
58.08	17
65.74	18

Crystal structure
a = 4.492 Å, b = 4.492 Å, c = 15.697 Å
α = 90.00°, β = 90.00°, γ = 90.00°
Space group P4/nmm (No. 129, origin choice 2)
Symmetry-distinct sites (fractional):
La: 0.250 0.250 0.107 (multiplicity 2)
Ho: 0.250 0.250 0.610 (multiplicity 2)
Te: 0.250 0.250 0.407 (multiplicity 2)
Te: 0.250 0.250 0.793 (multiplicity 2)
S: 0.250 0.750 0.000 (multiplicity 2)

=====

The following is a calculated powder XRD pattern of LaYHo2S4. It was derived from DFT lattice parameters and positions (GGA-PBE), using copper Kα.
Intensities are scaled so that the largest is 100.

Largest 12 diffraction maxima, sorted by position, 2θ = 10–80°:
2θ/deg	I/Imax
15.81	3
17.67	2
22.41	3
27.54	71
31.90	100
35.79	2
45.74	72
54.23	35
56.85	25
66.69	11
73.59	14
75.84	31

Crystal structure
a = 5.612 Å, b = 5.612 Å, c = 11.214 Å
α = 90.00°, β = 90.00°, γ = 90.00°
Space group I4/mmm (No. 139)
Symmetry-distinct sites (fractional):
La: 0.000 0.000 0.000 (multiplicity 2)
Y: 0.000 0.000 0.500 (multiplicity 2)
Ho: 0.000 0.500 0.250 (multiplicity 4)
S: 0.000 0.000 0.256 (multiplicity 4)
S: 0.000 0.500 0.000 (multiplicity 4)

=====

The following is a calculated powder XRD pattern of La3HoSb4. It was derived from DFT lattice parameters and positions (GGA-PBE), using copper Kα.
Intensities are scaled so that the largest is 100.

Largest 10 diffraction maxima, sorted by position, 2θ = 10–80°:
2θ/deg	I/Imax
23.88	1
27.64	100
39.48	77
46.67	1
48.87	27
57.07	13
64.55	29
64.61	6
71.59	19
71.69	6

Crystal structure
a = 7.899 Å, b = 9.138 Å, c = 7.907 Å
α = 90.00°, β = 109.51°, γ = 90.00°
Space group P2/c (No. 13)
Symmetry-distinct sites (fractional):
La: 0.000 0.124 0.250 (multiplicity 2)
La: 0.000 0.373 0.750 (multiplicity 2)
La: 0.500 0.373 0.250 (multiplicity 2)
Ho: 0.500 0.124 0.750 (multiplicity 2)
Sb: 0.255 0.370 0.505 (multiplicity 4)
Sb: 0.260 0.119 0.000 (multiplicity 4)

=====

The following is a calculated powder XRD pattern of LaHoSb. It was derived from DFT lattice parameters and positions (GGA-PBE), using copper Kα.
Intensities are scaled so that the largest is 100.

Largest 12 diffraction maxima, sorted by position, 2θ = 10–80°:
2θ/deg	I/Imax
28.01	19
29.31	97
30.29	36
34.26	100
36.19	22
39.26	59
50.37	35
55.65	14
56.73	20
65.13	20
65.66	16
67.97	27

Crystal structure
a = 4.590 Å, b = 4.590 Å, c = 8.851 Å
α = 90.00°, β = 90.00°, γ = 90.00°
Space group P4/nmm (No. 129, origin choice 2)
Symmetry-distinct sites (fractional):
La: 0.250 0.250 0.148 (multiplicity 2)
Ho: 0.250 0.750 0.500 (multiplicity 2)
Sb: 0.250 0.250 0.766 (multiplicity 2)